This entry pairs a crystal structure of PrAg2Bi2 with its simulated X-ray diffraction stick pattern. Radiation: CuKα. Structure: a structure optimized by DFT (GGA-PBE).
Intensities are scaled so that the largest is 100.

Cell and atoms:
abc: 12.423 12.423 4.622
angles: 90.00 90.00 158.46
Fractional coordinates of all 10 atoms:
Pr (0.143, 0.857, 0.750)
Pr (0.857, 0.143, 0.250)
Ag (0.035, 0.965, 0.250)
Ag (0.465, 0.535, 0.250)
Ag (0.535, 0.465, 0.750)
Ag (0.965, 0.035, 0.750)
Bi (0.250, 0.750, 0.250)
Bi (0.386, 0.614, 0.750)
Bi (0.614, 0.386, 0.250)
Bi (0.750, 0.250, 0.750)

Top 10 peaks for 2θ = 10–90°, low angle first:
d 3.051, 2θ 29.3, rel. 16
d 3.039, 2θ 29.4, rel. 29
d 2.720, 2θ 32.9, rel. 100
d 2.321, 2θ 38.8, rel. 24
d 2.311, 2θ 39.0, rel. 24
d 1.847, 2θ 49.3, rel. 8
d 1.638, 2θ 56.2, rel. 16
d 1.443, 2θ 64.6, rel. 10
d 1.405, 2θ 66.5, rel. 13
d 1.401, 2θ 66.8, rel. 13